B6SbN6: calculated X-ray diffraction stick pattern (Cu Kα X-rays), based on a DFT-relaxed cell (PBE, Alexandria).
Kinematic intensities with the Lorentz-polarization factor, no thermal factor.

The 10 most intense peaks (2θ = 5–70°), most intense first:
(hkl), d [Å], Position (°2θ), I (rel.)
1 0 0, 4.695, 18.90, 100
2 1 1, 1.917, 47.43, 62
2 0 1, 2.100, 43.08, 48
1 1 1, 2.711, 33.04, 34
1 1 0, 3.320, 26.85, 31
2 0 0, 2.348, 38.34, 30
3 0 0, 1.565, 59.02, 23
3 1 1, 1.416, 65.99, 13
3 1 0, 1.485, 62.56, 8
2 2 0, 1.660, 55.34, 6

Structure:
```
data_B6SbN6
_chemical_formula_sum 'B6 Sb1 N6'
_cell_length_a 4.695
_cell_length_b 4.695
_cell_length_c 4.695
_cell_angle_alpha 90.00
_cell_angle_beta 90.00
_cell_angle_gamma 90.00
_space_group_name_H-M_alt 'P m -3'
_space_group_IT_number 200
_space_group_name_Hall '-P 2 2 3'
loop_
_atom_site_label
_atom_site_fract_x
_atom_site_fract_y
_atom_site_fract_z
B1 0.000 0.244 0.500
Sb1 0.000 0.000 0.000
N1 0.000 0.500 0.256
```